# K2CoO3
Computed powder diffraction line list, Cu Kα (weighted mean of Kα1 and Kα2). Input: the GGA+U geometry in Alexandria.
Kinematic intensities with the Lorentz-polarization factor, no thermal factor.

Largest 10 diffraction maxima, in order of falling intensity, 2θ = 10–80°:
31.3°, I = 100.0
30.7°, I = 86.2
15.5°, I = 51.0
32.9°, I = 49.7
22.1°, I = 36.3
42.0°, I = 29.3
38.6°, I = 29.1
32.0°, I = 24.7
34.3°, I = 23.6
28.0°, I = 23.0

Crystal structure
Lattice parameters (Å, degrees): 6.428 6.428 12.763 90.00 90.00 126.11
Element x y z (fractional)
K 0.054 0.946 0.857
K 0.136 0.864 0.426
K 0.364 0.636 0.926
K 0.446 0.554 0.357
K 0.554 0.446 0.643
K 0.636 0.364 0.074
K 0.864 0.136 0.574
K 0.946 0.054 0.143
Co 0.248 0.752 0.668
Co 0.252 0.748 0.168
Co 0.748 0.252 0.832
Co 0.752 0.248 0.332
O 0.043 0.457 0.750
O 0.098 0.902 0.641
O 0.164 0.836 0.054
O 0.336 0.664 0.554
O 0.402 0.598 0.141
O 0.457 0.043 0.250
O 0.543 0.957 0.750
O 0.598 0.402 0.859
O 0.664 0.336 0.446
O 0.836 0.164 0.946
O 0.902 0.098 0.359
O 0.957 0.543 0.250